1.
This entry pairs a crystal structure of HoTaBrO4 with its theoretical X-ray diffraction stick pattern. Radiation: Cu Kα (λ = 1.5418 Å). Structure: a PBE-relaxed structure.

Structural model:
```
HoTaBrO4
1.0
6.5041 -3.1667 0.0000
6.5041 3.1667 0.0000
-1.9434 0.0000 6.4878
Ho Ta Br O
2 2 2 8
Direct
0.2075 0.2075 0.3278
0.7925 0.7925 0.6722
0.1122 0.1122 0.7128
0.8878 0.8878 0.2872
0.4689 0.4689 0.8221
0.5311 0.5311 0.1779
0.0390 0.0390 0.3411
0.0464 0.5884 0.3742
0.1624 0.1624 0.9970
0.4116 0.9536 0.6258
0.5884 0.0464 0.3742
0.8376 0.8376 0.0030
0.9536 0.4116 0.6258
0.9610 0.9610 0.6589
```

Largest 6 diffraction maxima, low angle first, 2θ from 15° to 90°:
d/Å, two_theta, I (rel.)
5.646, 15.70, 60.7
3.473, 25.65, 100.0
3.423, 26.03, 75.5
3.167, 28.18, 86.2
2.796, 32.01, 63.4
2.718, 32.95, 51.0

***

2.
This entry pairs a crystal structure of Tl3Bi2H4 with its theoretical X-ray diffraction stick pattern. Radiation: Cu Kα (λ = 1.5418 Å). Structure: a PBE-relaxed structure.

Structural model:
```
Tl3Bi2H4
1.0
5.6731 -3.7398 0.0000
5.6731 3.7398 0.0000
-3.1071 0.0000 10.4289
Tl Bi H
6 4 8
Direct
0.0030 0.9970 0.7500
0.0841 0.5347 0.8615
0.4653 0.9159 0.6385
0.5347 0.0841 0.3615
0.9159 0.4653 0.1385
0.9970 0.0030 0.2500
0.0640 0.6625 0.4609
0.3375 0.9360 0.0391
0.6625 0.0640 0.9609
0.9360 0.3375 0.5391
0.0112 0.3021 0.9244
0.3021 0.0112 0.4244
0.3214 0.4387 0.4122
0.4387 0.3214 0.9122
0.5613 0.6786 0.0878
0.6786 0.5613 0.5878
0.6979 0.9888 0.5756
0.9888 0.6979 0.0756
```

Largest 6 diffraction maxima, low angle first, 2θ from 15° to 90°:
d/Å, two_theta, I (rel.)
3.320, 26.86, 70.9
3.262, 27.34, 63.8
3.081, 28.98, 74.0
2.863, 31.24, 81.8
2.837, 31.53, 96.6
2.754, 32.51, 100.0

***

3.
This entry pairs a crystal structure of InRh2Se4 with its theoretical X-ray diffraction stick pattern. Radiation: Cu Kα (λ = 1.5418 Å). Structure: a PBE-relaxed structure.

Structural model:
```
InRh2Se4
1.0
-3.3529 3.3529 6.6797
3.3529 -3.3529 6.6797
3.3529 3.3529 -6.6797
In Rh Se
2 4 8
Direct
0.3750 0.1250 0.2500
0.6250 0.8750 0.7500
0.0000 0.0000 0.5000
0.0000 0.5000 0.0000
0.0000 0.5000 0.5000
0.5000 0.5000 0.0000
0.0142 0.1098 0.2946
0.2196 0.5142 0.4044
0.3152 0.7196 0.2054
0.3902 0.1848 0.9044
0.6098 0.8152 0.0956
0.6848 0.2804 0.7946
0.7804 0.4858 0.5956
0.9858 0.8902 0.7054
```

Largest 6 diffraction maxima, low angle first, 2θ from 15° to 90°:
d/Å, two_theta, I (rel.)
2.926, 30.55, 100.0
2.731, 32.80, 24.1
2.483, 36.17, 43.1
2.021, 44.84, 30.3
1.997, 45.41, 31.9
1.933, 47.00, 28.5

***

4.
This entry pairs a crystal structure of Ac5Ag2N2 with its theoretical X-ray diffraction stick pattern. Radiation: Cu Kα (λ = 1.5418 Å). Structure: a PBE-relaxed structure.

Structural model:
```
Ac5Ag2N2
1.0
-9.8650 3.8296 3.7038
9.8650 -3.8296 3.7038
9.8650 3.8296 -3.7038
Ac Ag N
10 4 4
Direct
0.0013 0.8844 0.6169
0.2450 0.0149 0.2599
0.2450 0.4851 0.7301
0.2675 0.3844 0.3831
0.6571 0.0772 0.2941
0.6571 0.8630 0.0800
0.7550 0.5149 0.2699
0.7550 0.9851 0.7401
0.7830 0.3630 0.7059
0.7830 0.5772 0.9200
0.2328 0.3591 0.0819
0.2328 0.6509 0.3737
0.2772 0.1509 0.9181
0.2772 0.8591 0.6263
0.7152 0.5439 0.6713
0.7293 0.2293 0.5000
0.7293 0.7293 0.0000
0.8726 0.0439 0.3287
```

Largest 6 diffraction maxima, low angle first, 2θ from 15° to 90°:
d/Å, two_theta, I (rel.)
3.467, 25.69, 52.2
3.352, 26.59, 52.7
3.025, 29.53, 99.3
2.962, 30.17, 100.0
2.798, 31.99, 58.0
2.662, 33.66, 81.8

***

5.
This entry pairs a crystal structure of Pm2NdH6 with its theoretical X-ray diffraction stick pattern. Radiation: Cu Kα (λ = 1.5418 Å). Structure: a PBE-relaxed structure.

Structural model:
```
Pm2NdH6
1.0
-1.9207 1.9207 8.1412
1.9207 -1.9207 8.1412
1.9207 1.9207 -8.1412
Pm Nd H
2 1 6
Direct
0.1672 0.1672 0.0000
0.8328 0.8328 0.0000
0.5000 0.5000 0.0000
0.0847 0.5847 0.5000
0.2500 0.7500 0.5000
0.4153 0.9153 0.5000
0.5847 0.0847 0.5000
0.7500 0.2500 0.5000
0.9153 0.4153 0.5000
```

Largest 6 diffraction maxima, low angle first, 2θ from 15° to 90°:
d/Å, two_theta, I (rel.)
3.136, 28.47, 100.0
2.715, 32.99, 48.9
1.920, 47.34, 38.3
1.637, 56.17, 44.7
1.246, 76.45, 18.0
1.214, 78.81, 16.4

***

6.
This entry pairs a crystal structure of CePmSm6 with its theoretical X-ray diffraction stick pattern. Radiation: Cu Kα (λ = 1.5418 Å). Structure: a PBE-relaxed structure.

Structural model:
```
CePmSm6
1.0
0.0000 5.1184 7.2368
3.6274 0.0000 7.2368
3.6274 5.1184 0.0000
Ce Pm Sm
1 1 6
Direct
0.0000 0.0000 0.0000
0.5000 0.5000 0.5000
0.1235 0.1235 0.3765
0.2474 0.2474 0.7526
0.3765 0.3765 0.1235
0.6235 0.6235 0.8765
0.7526 0.7526 0.2474
0.8765 0.8765 0.6235
```

Largest 6 diffraction maxima, low angle first, 2θ from 15° to 90°:
d/Å, two_theta, I (rel.)
2.957, 30.22, 100.0
2.561, 35.04, 50.6
1.811, 50.38, 30.2
1.545, 59.89, 35.8
1.175, 82.02, 11.7
1.145, 84.65, 13.6

***

7.
This entry pairs a crystal structure of NpV2Cr with its theoretical X-ray diffraction stick pattern. Radiation: Cu Kα (λ = 1.5418 Å). Structure: a PBE-relaxed structure.

Structural model:
```
NpV2Cr
1.0
2.8536 0.0000 0.0000
0.0000 2.8536 0.0000
0.0000 0.0000 7.2359
Np V Cr
1 2 1
Direct
0.0000 0.0000 0.0000
0.5000 0.5000 0.2999
0.5000 0.5000 0.7001
0.0000 0.0000 0.5000
```

Largest 6 diffraction maxima, low angle first, 2θ from 15° to 90°:
d/Å, two_theta, I (rel.)
3.618, 24.61, 27.3
2.854, 31.35, 24.7
2.655, 33.76, 52.2
2.241, 40.25, 100.0
2.018, 44.92, 40.2
1.203, 79.67, 26.3

***

8.
This entry pairs a crystal structure of RbCd10In2 with its theoretical X-ray diffraction stick pattern. Radiation: Cu Kα (λ = 1.5418 Å). Structure: a PBE-relaxed structure.

Structural model:
```
RbCd10In2
1.0
5.1420 -6.1284 0.0000
5.1420 6.1284 0.0000
0.0000 0.0000 10.6127
Rb Cd In
2 20 4
Direct
0.1300 0.8700 0.7500
0.8700 0.1300 0.2500
0.1535 0.8465 0.1092
0.1535 0.8465 0.3908
0.1582 0.3895 0.7500
0.2156 0.2156 0.0000
0.2156 0.2156 0.5000
0.2308 0.4826 0.2500
0.3895 0.1582 0.2500
0.3911 0.6089 0.5601
0.3911 0.6089 0.9399
0.4826 0.2308 0.7500
0.5174 0.7692 0.2500
0.6089 0.3911 0.0601
0.6089 0.3911 0.4399
0.6105 0.8418 0.7500
0.7692 0.5174 0.7500
0.7844 0.7844 0.0000
0.7844 0.7844 0.5000
0.8418 0.6105 0.2500
0.8465 0.1535 0.6092
0.8465 0.1535 0.8908
0.0000 0.5000 0.0000
0.0000 0.5000 0.5000
0.5000 0.0000 0.0000
0.5000 0.0000 0.5000
```

Largest 6 diffraction maxima, low angle first, 2θ from 15° to 90°:
d/Å, two_theta, I (rel.)
3.064, 29.15, 33.5
2.803, 31.93, 42.5
2.653, 33.78, 66.4
2.631, 34.08, 100.0
2.358, 38.17, 97.7
2.314, 38.92, 38.1